(1)
Cr2CuO4: computed PXRD pattern (Cu Ka), based on a DFT-relaxed cell (GGA+U, the Materials Project).
Neutral-atom scattering factors, no anomalous dispersion.

Cell and atoms:
```
Cr2CuO4
1.0
-3.013 3.047 4.083
3.013 -3.047 4.083
3.013 3.047 -4.083
Cr Cu O
4 2 8
Direct
0.000 0.000 0.000
0.500 0.000 0.000
0.500 0.000 0.500
0.500 0.500 0.500
0.122 0.372 0.750
0.878 0.628 0.250
0.255 0.226 0.471
0.255 0.784 0.029
0.278 0.248 0.031
0.283 0.752 0.531
0.717 0.248 0.469
0.722 0.752 0.969
0.745 0.216 0.971
0.745 0.774 0.529
```

Most intense lines, 15 to 90 degrees two-theta, by angle:
| 2θ (°) | d (Å) | intensity |
| --- | --- | --- |
| 30.24 | 2.956 | 701 |
| 34.77 | 2.580 | 915 |
| 34.99 | 2.564 | 940 |
| 36.18 | 2.483 | 1000 |
| 42.18 | 2.143 | 259 |
| 55.72 | 1.650 | 331 |
| 55.97 | 1.643 | 308 |
| 58.53 | 1.577 | 240 |
| 60.79 | 1.524 | 215 |
| 62.88 | 1.478 | 786 |


(2)
BaNb2Fe2O9: computed PXRD pattern (Cu Ka), based on a DFT-relaxed cell (GGA+U, the Materials Project).
Neutral-atom scattering factors, no anomalous dispersion.

Cell and atoms:
```
BaNb2Fe2O9
1.0
13.196 -2.811 0.000
13.196 2.811 0.000
0.000 0.000 5.625
Ba Nb Fe O
2 4 4 18
Direct
0.249 0.751 0.500
0.751 0.249 0.000
0.167 0.666 0.994
0.334 0.833 0.994
0.666 0.167 0.494
0.833 0.334 0.494
0.027 0.524 0.034
0.476 0.973 0.034
0.524 0.027 0.534
0.973 0.476 0.534
0.077 0.078 0.762
0.078 0.077 0.262
0.106 0.582 0.022
0.244 0.756 0.007
0.248 0.250 0.283
0.250 0.248 0.783
0.418 0.894 0.022
0.424 0.426 0.261
0.426 0.424 0.761
0.574 0.576 0.261
0.576 0.574 0.761
0.582 0.106 0.522
0.750 0.752 0.283
0.752 0.750 0.783
0.756 0.244 0.507
0.894 0.418 0.522
0.922 0.923 0.762
0.923 0.922 0.262
```

Most intense lines, 15 to 90 degrees two-theta, by angle:
| 2θ (°) | d (Å) | intensity |
| --- | --- | --- |
| 20.19 | 4.399 | 236 |
| 22.61 | 3.932 | 175 |
| 24.57 | 3.624 | 688 |
| 28.09 | 3.176 | 438 |
| 31.82 | 2.812 | 637 |
| 32.73 | 2.736 | 1000 |
| 41.04 | 2.199 | 175 |
| 45.62 | 1.988 | 492 |
| 57.27 | 1.609 | 457 |
| 63.02 | 1.475 | 173 |


(3)
Li9Mn7O16: computed PXRD pattern (Cu Ka), based on a DFT-relaxed cell (GGA+U, the Materials Project).
Neutral-atom scattering factors, no anomalous dispersion.

Cell and atoms:
```
Li9Mn7O16
1.0
6.061 0.000 0.000
1.534 6.336 0.000
2.111 -0.172 7.734
Li Mn O
9 7 16
Direct
0.000 0.000 0.000
0.120 0.374 0.125
0.122 0.873 0.626
0.364 0.636 0.878
0.374 0.121 0.370
0.626 0.879 0.630
0.636 0.364 0.122
0.878 0.127 0.374
0.880 0.626 0.875
0.000 0.500 0.500
0.242 0.752 0.243
0.249 0.249 0.756
0.500 0.000 0.000
0.500 0.500 0.500
0.751 0.751 0.244
0.758 0.248 0.757
0.046 0.199 0.566
0.054 0.691 0.081
0.207 0.045 0.183
0.208 0.550 0.685
0.292 0.455 0.317
0.331 0.959 0.829
0.448 0.795 0.428
0.461 0.294 0.939
0.539 0.706 0.061
0.552 0.205 0.572
0.669 0.041 0.171
0.708 0.545 0.683
0.792 0.450 0.315
0.793 0.955 0.817
0.946 0.309 0.919
0.954 0.801 0.434
```

Most intense lines, 15 to 90 degrees two-theta, by angle:
| 2θ (°) | d (Å) | intensity |
| --- | --- | --- |
| 18.30 | 4.848 | 1000 |
| 33.91 | 2.644 | 179 |
| 36.23 | 2.480 | 229 |
| 40.83 | 2.210 | 347 |
| 44.20 | 2.049 | 539 |
| 58.27 | 1.583 | 91 |
| 61.37 | 1.511 | 85 |
| 61.54 | 1.507 | 84 |
| 62.08 | 1.495 | 81 |
| 63.72 | 1.460 | 93 |


(4)
CuWO4: computed PXRD pattern (Cu Ka), based on a DFT-relaxed cell (GGA+U, the Materials Project).
Neutral-atom scattering factors, no anomalous dispersion.

Cell and atoms:
```
CuWO4
1.0
4.663 0.000 0.000
0.000 5.770 0.000
-0.121 0.000 5.008
Cu W O
2 2 8
Direct
0.000 0.164 0.250
0.000 0.836 0.750
0.500 0.325 0.750
0.500 0.675 0.250
0.240 0.123 0.593
0.240 0.877 0.093
0.281 0.393 0.068
0.281 0.607 0.568
0.719 0.393 0.432
0.719 0.607 0.932
0.760 0.123 0.907
0.760 0.877 0.407
```

Most intense lines, 15 to 90 degrees two-theta, by angle:
| 2θ (°) | d (Å) | intensity |
| --- | --- | --- |
| 19.04 | 4.662 | 421 |
| 23.52 | 3.782 | 428 |
| 24.55 | 3.626 | 544 |
| 30.16 | 2.964 | 1000 |
| 30.71 | 2.911 | 938 |
| 35.90 | 2.501 | 709 |
| 51.40 | 1.778 | 297 |
| 53.42 | 1.715 | 214 |
| 54.12 | 1.695 | 229 |
| 64.45 | 1.446 | 271 |


(5)
NiH4I2O8: computed PXRD pattern (Cu Ka), based on a DFT-relaxed cell (GGA+U, the Materials Project).
Neutral-atom scattering factors, no anomalous dispersion.

Cell and atoms:
```
NiH4I2O8
1.0
6.915 0.000 0.000
0.000 9.141 0.000
0.000 0.000 12.323
Ni H I O
4 16 8 32
Direct
0.000 0.000 0.000
0.000 0.500 0.500
0.500 0.000 0.500
0.500 0.500 0.000
0.232 0.105 0.148
0.232 0.395 0.648
0.236 0.068 0.647
0.236 0.432 0.147
0.264 0.568 0.647
0.264 0.932 0.147
0.268 0.605 0.148
0.268 0.895 0.648
0.732 0.105 0.352
0.732 0.395 0.852
0.736 0.068 0.853
0.736 0.432 0.353
0.764 0.568 0.853
0.764 0.932 0.353
0.768 0.605 0.352
0.768 0.895 0.852
0.221 0.724 0.863
0.221 0.776 0.363
0.279 0.224 0.863
0.279 0.276 0.363
0.721 0.724 0.637
0.721 0.776 0.137
0.779 0.224 0.637
0.779 0.276 0.137
0.059 0.209 0.946
0.059 0.291 0.446
0.175 0.223 0.726
0.175 0.277 0.226
0.179 0.579 0.376
0.179 0.921 0.876
0.241 0.018 0.100
0.241 0.482 0.600
0.259 0.518 0.100
0.259 0.982 0.600
0.321 0.079 0.376
0.321 0.421 0.876
0.325 0.723 0.726
0.325 0.777 0.226
0.441 0.709 0.946
0.441 0.791 0.446
0.559 0.209 0.554
0.559 0.291 0.054
0.675 0.223 0.774
0.675 0.277 0.274
0.679 0.579 0.124
0.679 0.921 0.624
0.741 0.018 0.400
0.741 0.482 0.900
0.759 0.518 0.400
0.759 0.982 0.900
0.821 0.079 0.124
0.821 0.421 0.624
0.825 0.723 0.774
0.825 0.777 0.274
0.941 0.709 0.554
0.941 0.791 0.054
```

Most intense lines, 15 to 90 degrees two-theta, by angle:
| 2θ (°) | d (Å) | intensity |
| --- | --- | --- |
| 17.62 | 5.034 | 297 |
| 19.29 | 4.600 | 1000 |
| 19.42 | 4.570 | 288 |
| 24.25 | 3.671 | 150 |
| 25.77 | 3.458 | 236 |
| 27.51 | 3.242 | 956 |
| 32.47 | 2.757 | 279 |
| 35.13 | 2.555 | 181 |
| 39.16 | 2.300 | 320 |
| 46.52 | 1.952 | 159 |